# 1
Structure and computed powder XRD pattern of TaSeI (a crystal structure in Alexandria, relaxed with PBE; copper Kα).

The 8 most intense peaks (2θ from 10° to 90°), by angle:
d (Å)  I/Imax  hkl
7.271  100  0 0 1
3.109  17  1 1 0
2.813  26  0 2 -2
2.722  29  -1 1 1
2.705  29  1 1 1
2.398  11  1 -2 1
2.078  13  1 1 -3
2.065  21  1 -1 3

a = 3.5972 Å, b = 6.4892 Å, c = 7.6295 Å
α = 107.62°, β = 90.43°, γ = 90.00°
Space group P-1 (No. 2)
Unique sites:
1 Ta 0.2498 0.1716 0.4880 (multiplicity 2)
2 Se 0.2542 0.0049 0.7575 (multiplicity 2)
3 I 0.2465 0.5038 0.2848 (multiplicity 2)

***

# 2
Structure and computed powder XRD pattern of Tl2HgPb (a crystal structure in Alexandria, relaxed with PBE; copper Kα).

The 8 most intense peaks (2θ from 10° to 90°), by angle:
d (Å)  I/Imax  hkl
2.809  100  0 1 2
2.780  27  1 1 -1
2.756  34  0 2 0
2.694  11  1 0 1
2.615  13  1 0 -2
1.897  11  1 2 -2
1.632  12  0 0 4
1.601  20  0 3 2

a = 3.3499 Å, b = 5.5126 Å, c = 6.6895 Å
α = 90.00°, β = 102.73°, γ = 90.00°
Space group Pm (No. 6)
Unique sites:
1 Tl 0.0000 0.0000 0.0000 (multiplicity 1)
2 Tl 0.3188 0.5000 0.7050 (multiplicity 1)
3 Hg 0.5394 0.5000 0.2067 (multiplicity 1)
4 Pb 0.7057 0.0000 0.4765 (multiplicity 1)

***

# 3
Structure and computed powder XRD pattern of In2Ru3 (a crystal structure in Alexandria, relaxed with PBE; copper Kα).

The 8 most intense peaks (2θ from 10° to 90°), by angle:
d (Å)  I/Imax  hkl
3.828  19  1 0 0
3.144  22  1 0 1
2.236  100  1 0 2
2.210  94  1 1 0
1.572  32  0 2 2
1.296  16  0 1 4
1.281  32  2 1 2
1.276  15  3 0 0

a = 4.4206 Å, b = 4.4206 Å, c = 5.5109 Å
α = 90.00°, β = 90.00°, γ = 120.00°
Space group P-3m1 (No. 164)
Unique sites:
1 In 0.3333 0.6667 0.3221 (multiplicity 2)
2 Ru 0.0000 0.0000 0.5000 (multiplicity 1)
3 Ru 0.3333 0.6667 0.8409 (multiplicity 2)

***

# 4
Structure and computed powder XRD pattern of LiPm2Tl8 (a crystal structure in Alexandria, relaxed with PBE; copper Kα).

The 8 most intense peaks (2θ from 10° to 90°), by angle:
d (Å)  I/Imax  hkl
3.020  39  1 1 2
2.665  100  1 1 3
2.537  20  0 0 5
2.428  52  2 0 0
1.754  27  2 0 5
1.717  19  2 2 0
1.443  31  3 1 3
1.439  21  1 1 8

a = 4.8561 Å, b = 4.8561 Å, c = 12.6835 Å
α = 90.00°, β = 90.00°, γ = 90.00°
Space group P4/mmm (No. 123)
Unique sites:
1 Li 0.0000 0.0000 0.0000 (multiplicity 1)
2 Pm 0.0000 0.0000 0.3120 (multiplicity 2)
3 Tl 0.0000 0.5000 0.1273 (multiplicity 4)
4 Tl 0.0000 0.5000 0.5000 (multiplicity 2)
5 Tl 0.5000 0.5000 0.3120 (multiplicity 2)

***

# 5
Structure and computed powder XRD pattern of LiHoThZr (a crystal structure in Alexandria, relaxed with PBE; copper Kα).

The 8 most intense peaks (2θ from 10° to 90°), by angle:
d (Å)  I/Imax  hkl
3.746  42  2 0 0
2.649  100  2 2 0
2.163  13  2 2 2
1.873  18  4 0 0
1.675  19  4 2 0
1.529  38  4 2 2
1.324  12  4 4 0
1.185  17  6 2 0

a = 7.4917 Å, b = 7.4917 Å, c = 7.4917 Å
α = 90.00°, β = 90.00°, γ = 90.00°
Space group F-43m (No. 216)
Unique sites:
1 Li 0.0000 0.0000 0.0000 (multiplicity 4)
2 Ho 0.2500 0.2500 0.2500 (multiplicity 4)
3 Th 0.2500 0.2500 0.7500 (multiplicity 4)
4 Zr 0.0000 0.0000 0.5000 (multiplicity 4)

***

# 6
Structure and computed powder XRD pattern of KNbSi2O7 (a crystal structure in Alexandria, relaxed with PBE; copper Kα).

The 8 most intense peaks (2θ from 10° to 90°), by angle:
d (Å)  I/Imax  hkl
6.276  82  1 1 0
4.438  90  2 0 0
4.143  91  0 0 2
3.580  65  2 1 1
3.458  54  1 1 2
3.029  88  2 0 2
2.866  58  2 1 2
2.807  100  3 1 0

a = 8.8759 Å, b = 8.8759 Å, c = 8.2863 Å
α = 90.00°, β = 90.00°, γ = 90.00°
Space group P4bm (No. 100)
Unique sites:
1 K 0.1789 0.3211 0.0000 (multiplicity 4)
2 Nb 0.0000 0.0000 0.2271 (multiplicity 2)
3 Nb 0.0000 0.0000 0.7288 (multiplicity 2)
4 Si 0.1236 0.6236 0.3122 (multiplicity 4)
5 Si 0.1238 0.6238 0.7018 (multiplicity 4)
6 O 0.0000 0.0000 0.0081 (multiplicity 2)
7 O 0.0000 0.0000 0.5114 (multiplicity 2)
8 O 0.0000 0.5000 0.2414 (multiplicity 2)
9 O 0.0000 0.5000 0.7725 (multiplicity 2)
10 O 0.0760 0.7879 0.7712 (multiplicity 8)
11 O 0.0767 0.7875 0.2424 (multiplicity 8)
12 O 0.1198 0.6198 0.5069 (multiplicity 4)

***

# 7
Structure and computed powder XRD pattern of PmPrCuRh (a crystal structure in Alexandria, relaxed with PBE; copper Kα).

The 8 most intense peaks (2θ from 10° to 90°), by angle:
d (Å)  I/Imax  hkl
2.850  100  1 1 1
2.673  26  0 0 4
2.644  31  0 1 3
2.294  19  1 0 4
2.276  59  1 1 3
2.236  29  2 0 0
1.971  20  0 2 0
1.707  22  2 1 3

a = 4.4714 Å, b = 3.9417 Å, c = 10.6925 Å
α = 90.00°, β = 90.00°, γ = 90.00°
Space group Amm2 (No. 38)
Unique sites:
1 Pm 0.0000 0.0000 0.0000 (multiplicity 2)
2 Pr 0.5000 0.0000 0.2762 (multiplicity 2)
3 Cu 0.0000 0.0000 0.7092 (multiplicity 2)
4 Rh 0.5000 0.0000 0.5554 (multiplicity 2)

***

# 8
Structure and computed powder XRD pattern of Rb2NaLiO2 (a crystal structure in Alexandria, relaxed with PBE; copper Kα).

The 8 most intense peaks (2θ from 10° to 90°), by angle:
d (Å)  I/Imax  hkl
3.416  100  1 2 1
2.753  24  2 0 0
2.685  76  1 4 1
2.671  24  0 0 2
2.222  21  2 4 0
2.178  21  0 4 2
1.917  29  2 0 2
1.690  39  1 8 1

a = 5.5066 Å, b = 15.0488 Å, c = 5.3413 Å
α = 90.00°, β = 90.00°, γ = 90.00°
Space group Ibam (No. 72)
Unique sites:
1 Rb 0.2296 0.1574 0.0000 (multiplicity 8)
2 Na 0.0000 0.5000 0.2500 (multiplicity 4)
3 Li 0.0000 0.0000 0.2500 (multiplicity 4)
4 O 0.2186 0.0766 0.5000 (multiplicity 8)

***

Number 6 is which compound? KNbSi2O7